(1)
Pm3Ge2Rh5: simulated X-ray powder pattern (Cu Kα X-rays), based on a structure optimized by DFT (GGA-PBE).
Neutral-atom scattering factors, no anomalous dispersion.

Largest 10 diffraction maxima, in order of rising 2θ, 10 to 90 degrees two-theta:
| d_spacing | 2θ/deg | I (rel.) |
| --- | --- | --- |
| 2.877 | 31.09 | 30 |
| 2.581 | 34.75 | 30 |
| 2.456 | 36.59 | 46 |
| 2.428 | 37.02 | 100 |
| 2.264 | 39.81 | 26 |
| 2.242 | 40.21 | 34 |
| 1.863 | 48.90 | 23 |
| 1.537 | 60.20 | 14 |
| 1.484 | 62.59 | 19 |
| 1.456 | 63.96 | 13 |

Structure:
```
Pm3Ge2Rh5
1.0
10.125 0.000 0.000
0.000 10.125 0.000
0.000 0.000 3.725
Pm Ge Rh
6 4 10
Direct
0.000 0.000 0.000
0.174 0.326 0.000
0.326 0.826 0.000
0.500 0.500 0.000
0.674 0.174 0.000
0.826 0.674 0.000
0.122 0.622 0.000
0.378 0.122 0.000
0.622 0.878 0.000
0.878 0.378 0.000
0.000 0.500 0.500
0.070 0.779 0.500
0.221 0.070 0.500
0.279 0.570 0.500
0.430 0.279 0.500
0.500 0.000 0.500
0.570 0.721 0.500
0.721 0.430 0.500
0.779 0.930 0.500
0.930 0.221 0.500
```


(2)
Pm3Si2GeRh9: simulated X-ray powder pattern (Cu Kα X-rays), based on a structure optimized by DFT (GGA-PBE).
Neutral-atom scattering factors, no anomalous dispersion.

Largest 10 diffraction maxima, in order of rising 2θ, 10 to 90 degrees two-theta:
| d_spacing | 2θ/deg | I (rel.) |
| --- | --- | --- |
| 2.618 | 34.26 | 100 |
| 2.602 | 34.46 | 33 |
| 2.264 | 39.82 | 96 |
| 1.604 | 57.45 | 32 |
| 1.597 | 57.73 | 32 |
| 1.368 | 68.62 | 13 |
| 1.366 | 68.74 | 25 |
| 1.361 | 68.99 | 13 |
| 1.309 | 72.18 | 16 |
| 1.132 | 85.87 | 10 |

Structure:
```
Pm3Si2GeRh9
1.0
6.416 0.000 0.000
-3.208 5.557 0.000
0.000 0.000 7.807
Pm Si Ge Rh
3 2 1 9
Direct
0.000 0.000 0.000
0.333 0.667 0.666
0.667 0.333 0.334
0.333 0.667 0.160
0.667 0.333 0.840
0.000 0.000 0.500
0.000 0.500 0.000
0.172 0.344 0.332
0.172 0.828 0.332
0.344 0.172 0.668
0.500 0.000 0.000
0.500 0.500 0.000
0.656 0.828 0.332
0.828 0.172 0.668
0.828 0.656 0.668
```


(3)
PmSiGeRh2: simulated X-ray powder pattern (Cu Kα X-rays), based on a structure optimized by DFT (GGA-PBE).
Neutral-atom scattering factors, no anomalous dispersion.

Largest 10 diffraction maxima, in order of rising 2θ, 10 to 90 degrees two-theta:
| d_spacing | 2θ/deg | I (rel.) |
| --- | --- | --- |
| 6.481 | 13.66 | 95 |
| 3.491 | 25.52 | 20 |
| 2.670 | 33.57 | 100 |
| 2.552 | 35.16 | 36 |
| 2.173 | 41.56 | 61 |
| 2.072 | 43.69 | 49 |
| 1.973 | 45.99 | 18 |
| 1.609 | 57.28 | 17 |
| 1.284 | 73.78 | 20 |
| 1.215 | 78.79 | 18 |

Structure:
```
PmSiGeRh2
1.0
4.143 0.000 0.000
0.000 4.143 0.000
0.000 0.000 6.481
Pm Si Ge Rh
1 1 1 2
Direct
0.000 0.000 0.000
0.000 0.000 0.542
0.500 0.500 0.152
0.000 0.500 0.368
0.500 0.000 0.368
```


(4)
TbPmGeRh: simulated X-ray powder pattern (Cu Kα X-rays), based on a structure optimized by DFT (GGA-PBE).
Neutral-atom scattering factors, no anomalous dispersion.

Largest 10 diffraction maxima, in order of rising 2θ, 10 to 90 degrees two-theta:
| d_spacing | 2θ/deg | I (rel.) |
| --- | --- | --- |
| 3.294 | 27.07 | 16 |
| 2.844 | 31.46 | 100 |
| 2.703 | 33.14 | 35 |
| 2.669 | 33.58 | 25 |
| 2.271 | 39.69 | 55 |
| 2.250 | 40.07 | 20 |
| 2.093 | 43.22 | 24 |
| 2.079 | 43.53 | 23 |
| 1.655 | 55.52 | 16 |
| 1.639 | 56.12 | 20 |

Structure:
```
TbPmGeRh
1.0
4.187 0.000 0.000
0.000 4.158 0.000
0.000 0.000 10.674
Tb Pm Ge Rh
2 2 2 2
Direct
0.000 0.000 0.000
0.000 0.500 0.500
0.500 0.000 0.720
0.500 0.500 0.220
0.000 0.000 0.291
0.000 0.500 0.791
0.500 0.000 0.443
0.500 0.500 0.943
```


(5)
PmTmGeRh: simulated X-ray powder pattern (Cu Kα X-rays), based on a structure optimized by DFT (GGA-PBE).
Neutral-atom scattering factors, no anomalous dispersion.

Largest 10 diffraction maxima, in order of rising 2θ, 10 to 90 degrees two-theta:
| d_spacing | 2θ/deg | I (rel.) |
| --- | --- | --- |
| 3.272 | 27.25 | 17 |
| 2.824 | 31.69 | 100 |
| 2.680 | 33.43 | 35 |
| 2.645 | 33.89 | 25 |
| 2.254 | 40.01 | 53 |
| 2.233 | 40.39 | 19 |
| 2.082 | 43.46 | 24 |
| 2.061 | 43.93 | 23 |
| 1.644 | 55.92 | 16 |
| 1.625 | 56.64 | 19 |

Structure:
```
PmTmGeRh
1.0
4.165 0.000 0.000
0.000 4.123 0.000
0.000 0.000 10.582
Pm Tm Ge Rh
2 2 2 2
Direct
0.000 0.000 0.000
0.000 0.500 0.500
0.500 0.000 0.281
0.500 0.500 0.781
0.500 0.000 0.574
0.500 0.500 0.074
0.000 0.000 0.727
0.000 0.500 0.227
```


(6)
PmZnGe2Rh: simulated X-ray powder pattern (Cu Kα X-rays), based on a structure optimized by DFT (GGA-PBE).
Neutral-atom scattering factors, no anomalous dispersion.

Largest 10 diffraction maxima, in order of rising 2θ, 10 to 90 degrees two-theta:
| d_spacing | 2θ/deg | I (rel.) |
| --- | --- | --- |
| 2.722 | 32.90 | 64 |
| 2.567 | 34.95 | 100 |
| 2.059 | 43.98 | 50 |
| 1.925 | 47.22 | 29 |
| 1.642 | 56.00 | 31 |
| 1.540 | 60.08 | 13 |
| 1.456 | 63.95 | 18 |
| 1.406 | 66.50 | 21 |
| 1.266 | 75.00 | 21 |
| 1.135 | 85.54 | 14 |

Structure:
```
PmZnGe2Rh
1.0
4.118 0.000 0.000
0.000 4.118 0.000
0.000 0.000 10.887
Pm Zn Ge Rh
2 2 4 2
Direct
0.000 0.000 0.000
0.500 0.500 0.500
0.000 0.500 0.750
0.500 0.000 0.250
0.000 0.000 0.384
0.000 0.000 0.616
0.500 0.500 0.116
0.500 0.500 0.884
0.000 0.500 0.250
0.500 0.000 0.750
```


(7)
PmZnGe2Rh5: simulated X-ray powder pattern (Cu Kα X-rays), based on a structure optimized by DFT (GGA-PBE).
Neutral-atom scattering factors, no anomalous dispersion.

Largest 10 diffraction maxima, in order of rising 2θ, 10 to 90 degrees two-theta:
| d_spacing | 2θ/deg | I (rel.) |
| --- | --- | --- |
| 2.973 | 30.06 | 14 |
| 2.875 | 31.11 | 14 |
| 2.457 | 36.57 | 18 |
| 2.437 | 36.88 | 100 |
| 2.298 | 39.21 | 82 |
| 1.678 | 54.69 | 22 |
| 1.625 | 56.66 | 28 |
| 1.438 | 64.86 | 16 |
| 1.352 | 69.54 | 30 |
| 1.149 | 84.28 | 19 |

Structure:
```
PmZnGe2Rh5
1.0
4.595 0.000 0.000
0.000 4.595 0.000
0.000 0.000 7.371
Pm Zn Ge Rh
1 1 2 5
Direct
0.000 0.000 0.000
0.000 0.000 0.500
0.500 0.500 0.330
0.500 0.500 0.670
0.000 0.500 0.277
0.000 0.500 0.723
0.500 0.000 0.277
0.500 0.000 0.723
0.500 0.500 0.000
```


(8)
Pm2GeRu: simulated X-ray powder pattern (Cu Kα X-rays), based on a structure optimized by DFT (GGA-PBE).
Neutral-atom scattering factors, no anomalous dispersion.

Largest 10 diffraction maxima, in order of rising 2θ, 10 to 90 degrees two-theta:
| d_spacing | 2θ/deg | I (rel.) |
| --- | --- | --- |
| 4.294 | 20.69 | 40 |
| 3.271 | 27.26 | 59 |
| 2.709 | 33.07 | 46 |
| 2.674 | 33.52 | 33 |
| 2.615 | 34.29 | 100 |
| 2.396 | 37.53 | 40 |
| 2.238 | 40.29 | 33 |
| 1.767 | 51.74 | 62 |
| 1.716 | 53.38 | 18 |
| 1.636 | 56.24 | 25 |

Structure:
```
Pm2GeRu
1.0
10.651 0.000 0.000
0.000 4.793 0.000
-3.761 0.000 8.125
Pm Ge Ru
8 4 4
Direct
0.179 0.001 0.089
0.179 0.999 0.589
0.321 0.499 0.911
0.321 0.501 0.411
0.679 0.499 0.589
0.679 0.501 0.089
0.821 0.001 0.411
0.821 0.999 0.911
0.000 0.494 0.250
0.000 0.506 0.750
0.500 0.006 0.750
0.500 0.994 0.250
0.000 0.007 0.750
0.000 0.993 0.250
0.500 0.493 0.250
0.500 0.507 0.750
```


(9)
PmGe3Ru5: simulated X-ray powder pattern (Cu Kα X-rays), based on a structure optimized by DFT (GGA-PBE).
Neutral-atom scattering factors, no anomalous dispersion.

Largest 10 diffraction maxima, in order of rising 2θ, 10 to 90 degrees two-theta:
| d_spacing | 2θ/deg | I (rel.) |
| --- | --- | --- |
| 3.151 | 28.32 | 38 |
| 2.991 | 29.87 | 47 |
| 2.752 | 32.54 | 100 |
| 2.657 | 33.73 | 68 |
| 2.330 | 38.64 | 84 |
| 2.208 | 40.87 | 56 |
| 2.064 | 43.87 | 28 |
| 2.053 | 44.11 | 79 |
| 1.901 | 47.86 | 47 |
| 1.395 | 67.11 | 34 |

Structure:
```
PmGe3Ru5
1.0
2.053 -6.548 0.000
2.053 6.548 0.000
0.000 0.000 11.595
Pm Ge Ru
2 6 10
Direct
0.189 0.811 0.750
0.811 0.189 0.250
0.118 0.882 0.250
0.376 0.624 0.056
0.376 0.624 0.444
0.624 0.376 0.556
0.624 0.376 0.944
0.882 0.118 0.750
0.000 0.000 0.000
0.000 0.000 0.500
0.192 0.808 0.059
0.192 0.808 0.441
0.452 0.548 0.644
0.452 0.548 0.856
0.548 0.452 0.144
0.548 0.452 0.356
0.808 0.192 0.559
0.808 0.192 0.941
```


(10)
PmSiGeRu2: simulated X-ray powder pattern (Cu Kα X-rays), based on a structure optimized by DFT (GGA-PBE).
Neutral-atom scattering factors, no anomalous dispersion.

Largest 10 diffraction maxima, in order of rising 2θ, 10 to 90 degrees two-theta:
| d_spacing | 2θ/deg | I (rel.) |
| --- | --- | --- |
| 6.258 | 14.15 | 100 |
| 3.523 | 25.28 | 17 |
| 2.715 | 32.99 | 87 |
| 2.522 | 35.59 | 33 |
| 2.171 | 41.61 | 61 |
| 2.131 | 42.41 | 49 |
| 2.017 | 44.93 | 21 |
| 1.628 | 56.53 | 17 |
| 1.318 | 71.61 | 18 |
| 1.238 | 77.03 | 20 |

Structure:
```
PmSiGeRu2
1.0
4.263 0.000 0.000
0.000 4.263 0.000
0.000 0.000 6.258
Pm Si Ge Ru
1 1 1 2
Direct
0.000 0.000 0.000
0.000 0.000 0.512
0.500 0.500 0.147
0.000 0.500 0.347
0.500 0.000 0.347
```


(11)
PmSiGe2Ru2: simulated X-ray powder pattern (Cu Kα X-rays), based on a structure optimized by DFT (GGA-PBE).
Neutral-atom scattering factors, no anomalous dispersion.

Largest 10 diffraction maxima, in order of rising 2θ, 10 to 90 degrees two-theta:
| d_spacing | 2θ/deg | I (rel.) |
| --- | --- | --- |
| 3.491 | 25.52 | 14 |
| 2.807 | 31.89 | 12 |
| 2.748 | 32.58 | 100 |
| 2.375 | 37.88 | 56 |
| 2.229 | 40.47 | 64 |
| 1.745 | 52.42 | 12 |
| 1.625 | 56.63 | 34 |
| 1.576 | 58.57 | 21 |
| 1.367 | 68.65 | 23 |
| 1.188 | 80.96 | 15 |

Structure:
```
PmSiGe2Ru2
1.0
4.458 0.000 0.000
0.000 4.458 0.000
0.000 0.000 5.613
Pm Si Ge Ru
1 1 2 2
Direct
0.000 0.000 0.000
0.000 0.000 0.500
0.500 0.500 0.225
0.500 0.500 0.775
0.000 0.500 0.500
0.500 0.000 0.500
```


(12)
Pm5GeS4: simulated X-ray powder pattern (Cu Kα X-rays), based on a structure optimized by DFT (GGA-PBE).
Neutral-atom scattering factors, no anomalous dispersion.

Largest 10 diffraction maxima, in order of rising 2θ, 10 to 90 degrees two-theta:
| d_spacing | 2θ/deg | I (rel.) |
| --- | --- | --- |
| 3.338 | 26.70 | 81 |
| 2.894 | 30.90 | 92 |
| 2.885 | 31.00 | 45 |
| 2.044 | 44.31 | 100 |
| 1.745 | 52.45 | 27 |
| 1.741 | 52.58 | 13 |
| 1.669 | 55.02 | 35 |
| 1.294 | 73.14 | 30 |
| 1.291 | 73.33 | 15 |
| 1.181 | 81.51 | 22 |

Structure:
```
Pm5GeS4
1.0
-4.576 4.576 2.885
4.576 -4.576 2.885
4.576 4.576 -2.885
Pm Ge S
5 1 4
Direct
0.000 0.000 0.000
0.199 0.400 0.599
0.400 0.801 0.201
0.600 0.199 0.799
0.801 0.600 0.401
0.500 0.500 0.000
0.102 0.699 0.801
0.301 0.102 0.402
0.699 0.898 0.598
0.898 0.301 0.199
```


(13)
Pm2GeS4: simulated X-ray powder pattern (Cu Kα X-rays), based on a structure optimized by DFT (GGA-PBE).
Neutral-atom scattering factors, no anomalous dispersion.

Largest 10 diffraction maxima, in order of rising 2θ, 10 to 90 degrees two-theta:
| d_spacing | 2θ/deg | I (rel.) |
| --- | --- | --- |
| 4.793 | 18.51 | 52 |
| 3.389 | 26.29 | 25 |
| 2.996 | 29.82 | 100 |
| 2.541 | 35.33 | 40 |
| 2.397 | 37.53 | 47 |
| 2.144 | 42.15 | 13 |
| 1.872 | 48.65 | 50 |
| 1.695 | 54.12 | 16 |
| 1.670 | 54.98 | 18 |
| 1.256 | 75.71 | 14 |

Structure:
```
Pm2GeS4
1.0
6.779 0.000 0.000
0.000 6.779 0.000
0.000 0.000 7.677
Pm Ge S
4 2 8
Direct
0.000 0.500 0.250
0.000 0.500 0.750
0.500 0.000 0.250
0.500 0.000 0.750
0.000 0.000 0.000
0.500 0.500 0.500
0.240 0.240 0.568
0.240 0.760 0.432
0.260 0.260 0.068
0.260 0.740 0.932
0.740 0.260 0.932
0.740 0.740 0.068
0.760 0.240 0.432
0.760 0.760 0.568
```


(14)
Pm5GeS5: simulated X-ray powder pattern (Cu Kα X-rays), based on a structure optimized by DFT (GGA-PBE).
Neutral-atom scattering factors, no anomalous dispersion.

Largest 10 diffraction maxima, in order of rising 2θ, 10 to 90 degrees two-theta:
| d_spacing | 2θ/deg | I (rel.) |
| --- | --- | --- |
| 5.209 | 17.02 | 18 |
| 3.336 | 26.72 | 72 |
| 2.895 | 30.88 | 100 |
| 2.876 | 31.10 | 50 |
| 2.047 | 44.24 | 36 |
| 2.041 | 44.40 | 72 |
| 1.745 | 52.44 | 24 |
| 1.668 | 55.06 | 37 |
| 1.288 | 73.53 | 16 |
| 1.181 | 81.52 | 23 |

Structure:
```
Pm5GeS5
1.0
6.472 -2.876 0.000
6.472 2.876 0.000
-2.579 0.000 7.773
Pm Ge S
5 1 5
Direct
0.000 0.000 0.000
0.334 0.334 0.662
0.339 0.339 0.177
0.661 0.661 0.823
0.666 0.666 0.338
0.500 0.500 0.000
0.170 0.170 0.332
0.173 0.173 0.843
0.500 0.500 0.500
0.827 0.827 0.157
0.830 0.830 0.668
```